# 1
This entry pairs a crystal structure of TlCdF3 with its computed XRD peak list. Radiation: a wavelength of 1.5418 Å. Structure: a crystal structure in Alexandria, relaxed with PBE.

Peak list (12 most intense, 2θ = 15–90°, in order of falling intensity)
2θ/deg	d/Å	I/Imax	(hkl)
30.53	2.928	100	0 2 0
27.32	3.264	81	0 1 2
40.75	2.214	42	1 2 1
26.39	3.377	39	1 0 1
52.88	1.732	26	1 2 -3
56.73	1.623	22	2 1 2
42.12	2.145	17	1 0 -3
54.21	1.692	14	1 3 -1
44.99	2.015	14	1 1 3
46.22	1.964	14	0 0 4
48.69	1.870	14	2 0 0
52.26	1.750	13	0 3 2

Structural model:
```
data_TlCdF3
_chemical_formula_sum 'Tl2 Cd2 F6'
_cell_length_a 3.740
_cell_length_b 5.865
_cell_length_c 7.857
_cell_angle_alpha 90.00
_cell_angle_beta 90.04
_cell_angle_gamma 90.00
_symmetry_space_group_name_H-M 'P 1 21/m 1'
_symmetry_Int_Tables_number 11
loop_
_symmetry_equiv_pos_as_xyz
'x,y,z'
'-x,-y,-z'
'-x,y+1/2,-z'
'x,-y+1/2,z'
loop_
_atom_site_label
_atom_site_type_symbol
_atom_site_fract_x
_atom_site_fract_y
_atom_site_fract_z
_atom_site_occupancy
Tl1 Tl 0.249 0.250 0.373 1
Cd1 Cd 0.250 0.750 0.098 1
F1 F 0.250 0.005 0.870 1
F2 F 0.250 0.750 0.387 1
```

# 2
This entry pairs a crystal structure of K2LiTa2O7 with its computed XRD peak list. Radiation: a wavelength of 1.5418 Å. Structure: a crystal structure in Alexandria, relaxed with PBE.

Peak list (12 most intense, 2θ = 15–90°, in order of falling intensity)
2θ/deg	d/Å	I/Imax	(hkl)
22.63	3.930	100	1 0 1
30.27	2.952	86	1 0 5
16.18	5.479	46	0 0 4
31.68	2.824	45	1 1 0
51.29	1.781	36	1 0 11
55.55	1.654	32	2 1 5
45.41	1.997	28	2 0 0
24.37	3.652	21	0 0 6
52.88	1.731	18	1 1 10
62.97	1.476	15	2 0 10
70.87	1.330	15	2 1 11
41.19	2.191	14	0 0 10

Structural model:
```
data_K2LiTa2O7
_chemical_formula_sum 'K4 Li2 Ta4 O14'
_cell_length_a 3.994
_cell_length_b 3.994
_cell_length_c 21.914
_cell_angle_alpha 90.00
_cell_angle_beta 90.00
_cell_angle_gamma 90.00
_symmetry_space_group_name_H-M 'I 4/m m m'
_symmetry_Int_Tables_number 139
_symmetry_space_group_name_Hall '-I 4 2'
loop_
_atom_site_label
_atom_site_type_symbol
_atom_site_fract_x
_atom_site_fract_y
_atom_site_fract_z
_atom_site_occupancy
K1 K 0.000 0.000 0.192 1
Li1 Li 0.000 0.000 0.000 1
Ta1 Ta 0.000 0.000 0.406 1
O1 O 0.000 0.000 0.320 1
O2 O 0.000 0.000 0.500 1
O3 O 0.000 0.500 0.087 1
```

# 3
This entry pairs a crystal structure of U4Ge2Se5 with its computed XRD peak list. Radiation: a wavelength of 1.5418 Å. Structure: a crystal structure in Alexandria, relaxed with PBE.

Peak list (12 most intense, 2θ = 15–90°, in order of falling intensity)
2θ/deg	d/Å	I/Imax	(hkl)
40.79	2.212	100	1 0 7
32.71	2.738	93	1 2 1
19.34	4.589	37	0 0 4
26.50	3.364	32	1 1 2
24.62	3.616	27	1 1 0
38.05	2.365	27	0 2 6
43.79	2.067	25	2 0 0
25.80	3.454	24	0 2 2
65.45	1.426	19	1 4 7
48.87	1.864	18	0 4 0
36.31	2.474	17	0 1 7
78.42	1.220	16	3 0 7

Structural model:
```
data_U4Ge2Se5
_chemical_formula_sum 'U8 Ge4 Se10'
_cell_length_a 4.134
_cell_length_b 7.455
_cell_length_c 18.358
_cell_angle_alpha 90.00
_cell_angle_beta 90.00
_cell_angle_gamma 90.00
_symmetry_space_group_name_H-M 'I m m m'
_symmetry_Int_Tables_number 71
_symmetry_space_group_name_Hall '-I 2 2'
loop_
_atom_site_label
_atom_site_type_symbol
_atom_site_fract_x
_atom_site_fract_y
_atom_site_fract_z
_atom_site_occupancy
U1 U 0.000 0.000 0.213 1
U2 U 0.000 0.263 0.500 1
Ge1 Ge 0.000 0.000 0.063 1
Se1 Se 0.000 0.241 0.334 1
Se2 Se 0.000 0.500 0.000 1
```

# 4
This entry pairs a crystal structure of V3CoGe2 with its computed XRD peak list. Radiation: a wavelength of 1.5418 Å. Structure: a crystal structure in Alexandria, relaxed with PBE.

Peak list (12 most intense, 2θ = 15–90°, in order of falling intensity)
2θ/deg	d/Å	I/Imax	(hkl)
45.55	1.992	100	0 4 2
45.77	1.983	87	2 4 0
50.98	1.791	86	2 0 2
38.08	2.363	62	0 2 2
38.33	2.348	56	2 2 0
42.32	2.136	51	0 6 0
68.35	1.372	38	2 6 2
49.70	1.835	31	1 6 1
28.55	3.127	29	1 2 1
40.52	2.226	23	2 1 1
35.30	2.542	22	0 0 2
79.42	1.207	15	1 10 1

Structural model:
```
data_V3CoGe2
_chemical_formula_sum 'V12 Co4 Ge8'
_cell_length_a 5.048
_cell_length_b 12.815
_cell_length_c 5.085
_cell_angle_alpha 90.00
_cell_angle_beta 90.00
_cell_angle_gamma 90.00
_symmetry_space_group_name_H-M 'I b a m'
_symmetry_Int_Tables_number 72
_symmetry_space_group_name_Hall '-I 2 2c'
loop_
_atom_site_label
_atom_site_type_symbol
_atom_site_fract_x
_atom_site_fract_y
_atom_site_fract_z
_atom_site_occupancy
V1 V 0.000 0.000 0.250 1
V2 V 0.212 0.167 0.000 1
Co1 Co 0.000 0.500 0.250 1
Ge1 Ge 0.215 0.363 0.000 1
```